Record 1
Diffraction record for Mg14NbNiO16. The powder diffraction line list is theoretical, not measured: it uses the GGA+U geometry in the Materials Project and Cu Ka.

Main lines, in order of rising 2θ (2θ from 10° to 90°):
Position (°2θ)	Rel. int.	h k l
10.26	54	0 1 0
29.48	21	1 2 0
36.21	66	1 2 2
41.67	100	0 0 4
41.92	99	0 4 0
42.58	95	2 0 0
60.58	56	0 4 4
61.09	55	2 0 4
61.28	55	2 4 0
76.85	50	2 4 4

Structure:
Unit cell a=4.247 b=8.621 c=8.671 alpha=90.00 beta=90.00 gamma=90.00
Sites, in units of the cell vectors:
Mg1 0.000 0.000 0.000
Mg2 0.000 0.000 0.500
Mg3 0.000 0.249 0.241
Mg4 0.000 0.249 0.759
Mg5 0.000 0.751 0.241
Mg6 0.000 0.751 0.759
Mg7 0.500 0.000 0.247
Mg8 0.500 0.000 0.753
Mg9 0.500 0.242 0.500
Mg10 0.500 0.252 0.000
Mg11 0.500 0.500 0.235
Mg12 0.500 0.500 0.765
Mg13 0.500 0.748 0.000
Mg14 0.500 0.758 0.500
Nb1 0.000 0.500 0.500
Ni1 0.000 0.500 0.000
O1 0.000 0.000 0.254
O2 0.000 0.000 0.746
O3 0.000 0.233 0.000
O4 0.000 0.244 0.500
O5 0.000 0.500 0.255
O6 0.000 0.500 0.745
O7 0.000 0.756 0.500
O8 0.000 0.767 0.000
O9 0.500 0.000 0.000
O10 0.500 0.000 0.500
O11 0.500 0.252 0.251
O12 0.500 0.252 0.749
O13 0.500 0.500 0.000
O14 0.500 0.500 0.500
O15 0.500 0.748 0.251
O16 0.500 0.748 0.749

Record 2
Diffraction record for Li9Mn2Co5O16. The powder diffraction line list is theoretical, not measured: it uses the GGA+U geometry in the Materials Project and Cu Ka.

Main lines, in order of rising 2θ (2θ from 10° to 90°):
Position (°2θ)	Rel. int.	h k l
18.41	100	0 1 1
36.03	14	2 0 0
36.30	13	1 1 -3
36.52	13	1 0 4
37.90	11	1 -1 3
43.41	28	-2 1 1
43.94	27	1 2 -2
44.29	26	1 1 5
63.08	7	1 -3 1
63.85	14	3 1 -3

Structure:
Unit cell a=5.048 b=5.097 c=11.201 alpha=81.01 beta=86.35 gamma=81.27
Sites, in units of the cell vectors:
Li1 0.000 0.000 0.000
Li2 0.001 0.500 0.491
Li3 0.011 0.247 0.738
Li4 0.480 0.129 0.866
Li5 0.487 0.376 0.615
Li6 0.496 0.617 0.367
Li7 0.499 0.878 0.130
Li8 0.746 0.308 0.186
Li9 0.988 0.749 0.250
Mn1 0.245 0.436 0.060
Mn2 0.743 0.562 0.932
Co1 0.241 0.938 0.553
Co2 0.244 0.686 0.807
Co3 0.249 0.188 0.308
Co4 0.745 0.064 0.432
Co5 0.748 0.812 0.681
O1 0.104 0.372 0.904
O2 0.126 0.604 0.661
O3 0.133 0.846 0.407
O4 0.140 0.119 0.143
O5 0.351 0.526 0.203
O6 0.358 0.001 0.717
O7 0.364 0.274 0.465
O8 0.385 0.754 0.958
O9 0.600 0.256 0.018
O10 0.604 0.497 0.781
O11 0.608 0.981 0.287
O12 0.628 0.749 0.532
O13 0.864 0.133 0.589
O14 0.881 0.872 0.833
O15 0.883 0.366 0.343
O16 0.889 0.643 0.074